Pr3Dy2ThSe6: theoretical X-ray diffraction stick pattern (Cu Kα (weighted mean of Kα1 and Kα2)), based on DFT lattice parameters and positions (PBE).
Intensities are scaled so that the largest is 100.

Atomic structure:
```
data_Pr3Dy2ThSe6
_space_group_name_H-M_alt 'C 1 2/m 1'
_space_group_IT_number 12
_cell_length_a 18.2624
_cell_length_b 4.1687
_cell_length_c 8.4458
_cell_angle_alpha 90.00
_cell_angle_beta 103.11
_cell_angle_gamma 90.00
loop_
_space_group_symop_operation_xyz
'x,y,z'
'-x,-y,-z'
'-x,y,-z'
'x,-y,z'
'x+1/2,y+1/2,z'
'-x+1/2,-y+1/2,-z'
'-x+1/2,y+1/2,-z'
'x+1/2,-y+1/2,z'
loop_
_atom_site_label
_atom_site_fract_x
_atom_site_fract_y
_atom_site_fract_z
Pr1 0.0000 0.0000 0.0000
Pr2 0.1621 0.5000 0.3337
Dy1 0.1657 0.5000 0.8311
Th1 0.0000 0.0000 0.5000
Se1 0.0058 0.5000 0.7522
Se2 0.1684 0.0000 0.5966
Se3 0.1713 0.0000 0.0742
```

Top 6 peaks for 2θ from 15° to 90°, low angle first:
2theta, d [Å], I (rel.), index
30.13, 2.966, 100, 1 1 -2
42.83, 2.111, 13, 2 0 -4
43.07, 2.100, 25, 5 1 2
43.21, 2.094, 24, 7 1 -2
43.41, 2.084, 12, 0 2 0
53.76, 1.705, 13, 6 2 0

***

LiCd4Pd15: theoretical X-ray diffraction stick pattern (Cu Kα (weighted mean of Kα1 and Kα2)), based on DFT lattice parameters and positions (PBE).
Intensities are scaled so that the largest is 100.

Atomic structure:
```
data_LiCd4Pd15
_space_group_name_H-M_alt 'P 4/m m m'
_space_group_IT_number 123
_space_group_name_Hall '-P 4 2'
_cell_length_a 4.0256
_cell_length_b 4.0256
_cell_length_c 19.8033
_cell_angle_alpha 90.00
_cell_angle_beta 90.00
_cell_angle_gamma 90.00
loop_
_atom_site_label
_atom_site_fract_x
_atom_site_fract_y
_atom_site_fract_z
Li1 0.0000 0.0000 0.0000
Cd1 0.0000 0.0000 0.1947
Cd2 0.0000 0.0000 0.3982
Pd1 0.0000 0.5000 0.0930
Pd2 0.0000 0.5000 0.2963
Pd3 0.0000 0.5000 0.5000
Pd4 0.5000 0.5000 0.0000
Pd5 0.5000 0.5000 0.1939
Pd6 0.5000 0.5000 0.3980
```

Top 6 peaks for 2θ from 15° to 90°, low angle first:
2theta, d [Å], I (rel.), index
38.96, 2.311, 100, 1 1 5
45.04, 2.013, 33, 2 0 0
45.82, 1.980, 15, 0 0 10
65.59, 1.423, 11, 2 2 0
66.20, 1.412, 19, 2 0 10
79.00, 1.212, 24, 3 1 5

***

BeReCl: theoretical X-ray diffraction stick pattern (Cu Kα (weighted mean of Kα1 and Kα2)), based on DFT lattice parameters and positions (PBE).
Intensities are scaled so that the largest is 100.

Atomic structure:
```
data_BeReCl
_space_group_name_H-M_alt 'I m m 2'
_space_group_IT_number 44
_cell_length_a 2.7472
_cell_length_b 2.8045
_cell_length_c 11.8545
_cell_angle_alpha 90.00
_cell_angle_beta 90.00
_cell_angle_gamma 90.00
loop_
_space_group_symop_operation_xyz
'x,y,z'
'-x,-y,z'
'-x,y,z'
'x,-y,z'
'x+1/2,y+1/2,z+1/2'
'-x+1/2,-y+1/2,z+1/2'
'-x+1/2,y+1/2,z+1/2'
'x+1/2,-y+1/2,z+1/2'
loop_
_atom_site_label
_atom_site_fract_x
_atom_site_fract_y
_atom_site_fract_z
Be1 0.0000 0.0000 0.0000
Re1 0.0000 0.0000 0.3725
Cl1 0.0000 0.0000 0.1766
```

Top 6 peaks for 2θ from 15° to 90°, low angle first:
2theta, d [Å], I (rel.), index
30.16, 2.964, 58, 0 0 4
32.82, 2.729, 100, 0 1 1
33.48, 2.676, 95, 1 0 1
39.40, 2.287, 41, 0 1 3
46.26, 1.963, 51, 1 1 0
48.89, 1.863, 44, 1 1 2

***

Rb3NpCu2Br9: theoretical X-ray diffraction stick pattern (Cu Kα (weighted mean of Kα1 and Kα2)), based on DFT lattice parameters and positions (PBE).
Intensities are scaled so that the largest is 100.

Atomic structure:
```
data_Rb3NpCu2Br9
_space_group_name_H-M_alt 'P -3 m 1'
_space_group_IT_number 164
_space_group_name_Hall '-P 3 2"'
_cell_length_a 7.8321
_cell_length_b 7.8321
_cell_length_c 9.5901
_cell_angle_alpha 90.00
_cell_angle_beta 90.00
_cell_angle_gamma 120.00
loop_
_atom_site_label
_atom_site_fract_x
_atom_site_fract_y
_atom_site_fract_z
Rb1 0.0000 0.0000 0.0000
Rb2 0.3333 0.6667 0.6846
Np1 0.0000 0.0000 0.5000
Cu1 0.3333 0.6667 0.0977
Br1 0.0000 0.5000 0.0000
Br2 0.1683 0.3366 0.3319
```

Top 6 peaks for 2θ from 15° to 90°, low angle first:
2theta, d [Å], I (rel.), index
16.00, 5.538, 53, 1 0 1
22.71, 3.916, 37, 1 1 0
27.91, 3.197, 55, 0 0 3
32.33, 2.769, 100, 2 0 2
46.38, 1.958, 69, 2 2 0
77.01, 1.238, 27, 4 2 2